Theoretical X-ray diffraction stick pattern
Compound: Li8Ag4O11
Radiation: Cu Kα (weighted mean of Kα1 and Kα2)
Structure: a DFT-relaxed cell (PBE, OQMD)

Largest 10 diffraction maxima, most intense first, 15° ≤ 2θ ≤ 90°:
- 18.45°, d = 4.809 Å, I = 100
- 35.03°, d = 2.562 Å, I = 40
- 41.80°, d = 2.161 Å, I = 27
- 43.03°, d = 2.102 Å, I = 27
- 23.31°, d = 3.817 Å, I = 26
- 43.10°, d = 2.099 Å, I = 26
- 20.67°, d = 4.297 Å, I = 24
- 20.29°, d = 4.378 Å, I = 22
- 19.49°, d = 4.555 Å, I = 22
- 34.34°, d = 2.612 Å, I = 22

Structural model:
```
data_Li8Ag4O11
_chemical_formula_sum 'Li8 Ag4 O11'
_cell_length_a 5.094
_cell_length_b 5.219
_cell_length_c 9.121
_cell_angle_alpha 90.78
_cell_angle_beta 105.83
_cell_angle_gamma 100.45
_space_group_name_H-M_alt 'P 1'
_space_group_IT_number 1
_space_group_name_Hall 'P 1'
loop_
_atom_site_label
_atom_site_type_symbol
_atom_site_fract_x
_atom_site_fract_y
_atom_site_fract_z
_atom_site_occupancy
Li1 Li 0.000 0.000 0.000 1
Li2 Li 0.006 0.061 0.316 1
Li3 Li 0.020 0.560 0.182 1
Li4 Li 0.026 0.526 0.799 1
Li5 Li 0.039 0.026 0.660 1
Li6 Li 0.049 0.518 0.494 1
Li7 Li 0.547 0.786 0.416 1
Li8 Li 0.575 0.267 0.907 1
Ag1 Ag 0.503 0.769 0.074 1
Ag2 Ag 0.519 0.293 0.232 1
Ag3 Ag 0.545 0.276 0.573 1
Ag4 Ag 0.549 0.781 0.747 1
O1 O 0.271 0.925 0.190 1
O2 O 0.273 0.406 0.352 1
O3 O 0.273 0.889 0.878 1
O4 O 0.305 0.416 0.698 1
O5 O 0.306 0.908 0.550 1
O6 O 0.748 0.666 0.273 1
O7 O 0.750 0.645 0.952 1
O8 O 0.790 0.209 0.118 1
O9 O 0.792 0.638 0.610 1
O10 O 0.810 0.149 0.473 1
O11 O 0.821 0.135 0.801 1
```

Theoretical X-ray diffraction stick pattern
Compound: Li6Ag2O7
Radiation: Cu Kα (weighted mean of Kα1 and Kα2)
Structure: a DFT-relaxed cell (PBE, OQMD)

Largest 10 diffraction maxima, most intense first, 15° ≤ 2θ ≤ 90°:
- 15.94°, d = 5.562 Å, I = 100
- 17.18°, d = 5.160 Å, I = 45
- 42.06°, d = 2.148 Å, I = 33
- 24.02°, d = 3.706 Å, I = 25
- 27.02°, d = 3.300 Å, I = 24
- 43.05°, d = 2.101 Å, I = 22
- 30.90°, d = 2.894 Å, I = 22
- 43.99°, d = 2.058 Å, I = 21
- 23.09°, d = 3.852 Å, I = 20
- 28.02°, d = 3.184 Å, I = 20

Structural model:
```
data_Li6Ag2O7
_chemical_formula_sum 'Li6 Ag2 O7'
_cell_length_a 5.176
_cell_length_b 5.222
_cell_length_c 5.842
_cell_angle_alpha 89.72
_cell_angle_beta 72.35
_cell_angle_gamma 81.52
_space_group_name_H-M_alt 'P -1'
_space_group_IT_number 2
_space_group_name_Hall '-P 1'
loop_
_atom_site_label
_atom_site_type_symbol
_atom_site_fract_x
_atom_site_fract_y
_atom_site_fract_z
_atom_site_occupancy
Li1 Li 0.211 0.375 0.304 1
Li2 Li 0.221 0.920 0.563 1
Li3 Li 0.224 0.369 0.835 1
Ag1 Ag 0.254 0.866 0.064 1
O1 O 0.016 0.736 0.370 1
O2 O 0.038 0.742 0.863 1
O3 O 0.494 0.999 0.250 1
O4 O 0.500 0.500 0.000 1
```

Theoretical X-ray diffraction stick pattern
Compound: Li5AgO4
Radiation: Cu Kα (weighted mean of Kα1 and Kα2)
Structure: a DFT-relaxed cell (PBE, OQMD)

Largest 10 diffraction maxima, most intense first, 15° ≤ 2θ ≤ 90°:
- 16.65°, d = 5.326 Å, I = 100
- 17.33°, d = 5.118 Å, I = 87
- 36.08°, d = 2.489 Å, I = 76
- 23.41°, d = 3.800 Å, I = 45
- 32.32°, d = 2.770 Å, I = 42
- 24.80°, d = 3.590 Å, I = 40
- 27.07°, d = 3.294 Å, I = 32
- 47.39°, d = 1.918 Å, I = 29
- 55.82°, d = 1.647 Å, I = 25
- 39.00°, d = 2.309 Å, I = 25

Structural model:
```
data_Li5AgO4
_chemical_formula_sum 'Li5 Ag1 O4'
_cell_length_a 5.127
_cell_length_b 3.294
_cell_length_c 5.334
_cell_angle_alpha 90.00
_cell_angle_beta 93.26
_cell_angle_gamma 90.00
_space_group_name_H-M_alt 'P 1 2/m 1'
_space_group_IT_number 10
_space_group_name_Hall '-P 2y'
loop_
_atom_site_label
_atom_site_type_symbol
_atom_site_fract_x
_atom_site_fract_y
_atom_site_fract_z
_atom_site_occupancy
Li1 Li 0.000 0.000 0.000 1
Li2 Li 0.345 0.500 0.159 1
Li3 Li 0.366 0.000 0.669 1
Ag1 Ag 0.000 0.500 0.500 1
O1 O 0.250 0.500 0.812 1
O2 O 0.253 0.000 0.312 1
```

Theoretical X-ray diffraction stick pattern
Compound: LiAgPbO3
Radiation: Cu Kα (weighted mean of Kα1 and Kα2)
Structure: a DFT-relaxed cell (PBE, OQMD)

Largest 10 diffraction maxima, most intense first, 15° ≤ 2θ ≤ 90°:
- 16.32°, d = 5.433 Å, I = 100
- 30.31°, d = 2.949 Å, I = 84
- 34.59°, d = 2.593 Å, I = 73
- 31.86°, d = 2.809 Å, I = 59
- 47.75°, d = 1.905 Å, I = 46
- 31.45°, d = 2.845 Å, I = 36
- 26.45°, d = 3.370 Å, I = 33
- 33.36°, d = 2.686 Å, I = 33
- 28.89°, d = 3.090 Å, I = 32
- 51.41°, d = 1.777 Å, I = 27

Structural model:
```
data_LiAgPbO3
_chemical_formula_sum 'Li4 Ag4 Pb4 O12'
_cell_length_a 10.865
_cell_length_b 3.281
_cell_length_c 9.192
_cell_angle_alpha 90.00
_cell_angle_beta 90.00
_cell_angle_gamma 90.00
_space_group_name_H-M_alt 'P n m a'
_space_group_IT_number 62
_space_group_name_Hall '-P 2ac 2n'
loop_
_atom_site_label
_atom_site_type_symbol
_atom_site_fract_x
_atom_site_fract_y
_atom_site_fract_z
_atom_site_occupancy
Li1 Li 0.223 0.250 0.163 1
Ag1 Ag 0.114 0.250 0.477 1
Pb1 Pb 0.042 0.250 0.841 1
O1 O 0.065 0.250 0.256 1
O2 O 0.112 0.750 0.986 1
O3 O 0.187 0.250 0.689 1
```

Q: Which formula does entry 3 have?
A: Li5AgO4

Q: Which formula does entry 2 have?
A: Li6Ag2O7